Diffraction record for Ce7PuAu4. The powder diffractogram is computed, not measured: it uses a PBE-relaxed structure and copper Kα.
Intensities are scaled so that the largest is 100.

The 8 most intense peaks (2θ = 10–90°), low angle first:
hkl 1 2 -1, 32.98 deg, intensity 64; hkl 0 0 3, 33.33 deg, intensity 100; hkl 2 0 1, 34.28 deg, intensity 85; hkl 1 2 -2, 34.49 deg, intensity 26; hkl 1 -2 2, 35.27 deg, intensity 69; hkl 2 0 -2, 35.83 deg, intensity 80; hkl -1 2 1, 37.80 deg, intensity 50; hkl 1 2 -4, 46.75 deg, intensity 23

Cell and atoms:
Lattice parameters (Å, degrees): 5.830 6.226 8.612 109.22 96.51 91.41
Atoms (fractional coordinates):
Ce: 0.000 0.000 0.000
Ce: 0.184 0.176 0.652
Ce: 0.362 0.553 0.343
Ce: 0.495 0.696 0.957
Ce: 0.505 0.304 0.043
Ce: 0.638 0.447 0.657
Ce: 0.816 0.824 0.348
Pu: 0.000 0.500 0.000
Au: 0.114 0.679 0.659
Au: 0.332 0.027 0.300
Au: 0.668 0.973 0.700
Au: 0.886 0.321 0.341